Entry 1:
Simulated powder diffraction line list
Compound: Cs4HgF2
Radiation: Cu Kα (weighted mean of Kα1 and Kα2)
Structure: a crystal structure in Alexandria, relaxed with GGA-PBE

Principal peaks in the range 10° ≤ 2θ ≤ 90°, sorted by position:
2θ/deg  d (Å)  I (rel.)
10.2  8.684  33
13.9  6.381  28
20.1  4.424  45
20.5  4.342  71
21.0  4.235  54
26.0  3.430  100
33.3  2.692  84
37.1  2.426  39
42.7  2.118  42
64.4  1.447  28

Cell and atoms:
Cell lengths 6.861, 6.861, 17.367 Å; angles 90.00, 90.00, 90.00 degrees
Space group I4/mmm (No. 139)
Inequivalent atoms, fractional coordinates:
Cs  0.000  0.000  0.237 (multiplicity 4)
Cs  0.000  0.500  0.000 (multiplicity 4)
Hg  0.000  0.000  0.500 (multiplicity 2)
F  0.000  0.000  0.092 (multiplicity 4)

---

Entry 2:
Simulated powder diffraction line list
Compound: Cs2HgF3
Radiation: Cu Kα (weighted mean of Kα1 and Kα2)
Structure: a crystal structure in Alexandria, relaxed with GGA-PBE

Principal peaks in the range 10° ≤ 2θ ≤ 90°, sorted by position:
2θ/deg  d (Å)  I (rel.)
10.8  8.223  20
25.0  3.564  96
27.1  3.288  96
28.9  3.091  100
32.7  2.741  39
38.4  2.345  27
44.1  2.055  21
44.2  2.051  57
47.6  1.909  42
51.3  1.781  50

Cell and atoms:
Cell lengths 4.109, 4.691, 16.445 Å; angles 90.00, 90.00, 90.00 degrees
Space group Immm (No. 71)
Inequivalent atoms, fractional coordinates:
Cs  0.000  0.000  0.156 (multiplicity 4)
Hg  0.000  0.000  0.500 (multiplicity 2)
F  0.000  0.000  0.337 (multiplicity 4)
F  0.000  0.500  0.500 (multiplicity 2)

---

Entry 3:
Simulated powder diffraction line list
Compound: CsHgIF2
Radiation: Cu Kα (weighted mean of Kα1 and Kα2)
Structure: a crystal structure in Alexandria, relaxed with GGA-PBE

Principal peaks in the range 10° ≤ 2θ ≤ 90°, sorted by position:
2θ/deg  d (Å)  I (rel.)
12.1  7.337  43
24.0  3.711  26
24.3  3.669  33
26.4  3.375  18
28.7  3.110  35
29.2  3.060  100
34.0  2.636  21
39.5  2.280  21
42.2  2.141  28
65.4  1.426  20

Cell and atoms:
Cell lengths 4.559, 14.674, 8.604 Å; angles 90.00, 90.00, 90.00 degrees
Space group Cmcm (No. 63)
Inequivalent atoms, fractional coordinates:
Cs  0.000  0.226  0.250 (multiplicity 4)
Hg  0.000  0.500  0.000 (multiplicity 4)
I  0.000  0.042  0.750 (multiplicity 4)
F  0.000  0.356  0.545 (multiplicity 8)